No. 1
Starting from a PBE-relaxed structure, the XRD peak list of BaZn12Ag4 was calculated for Cu Kα (λ = 1.5418 Å).
Intensities are scaled so that the largest is 100.

Principal peaks in the range 2θ from 10° to 90°, by angle:
| d [Å] | 2θ/deg | intensity |
| --- | --- | --- |
| 3.190 | 27.97 | 51 |
| 2.853 | 31.35 | 100 |
| 2.412 | 37.29 | 42 |
| 2.018 | 44.93 | 44 |
| 1.842 | 49.49 | 50 |
| 1.770 | 51.65 | 47 |

Structural model:
Cell: 9.023 9.023 9.023 Å, 90.00 90.00 90.00°
Space group Im-3 (No. 204)
Asymmetric unit:
Ba  0.000  0.000  0.000 x2
Zn  0.000  0.360  0.149 x24
Ag  0.250  0.250  0.250 x8



No. 2
Starting from a PBE-relaxed structure, the XRD peak list of In2Ga4O9 was calculated for Cu Kα (λ = 1.5418 Å).
Intensities are scaled so that the largest is 100.

Principal peaks in the range 2θ from 10° to 90°, by angle:
| d [Å] | 2θ/deg | intensity |
| --- | --- | --- |
| 2.774 | 32.27 | 100 |
| 2.616 | 34.28 | 81 |
| 1.903 | 47.79 | 39 |
| 1.744 | 52.48 | 34 |
| 1.539 | 60.12 | 36 |
| 1.510 | 61.38 | 27 |

Structural model:
Cell: 5.2321 5.2321 14.0340 Å, 90.00 90.00 120.00°
Space group P-3c1 (No. 165)
Asymmetric unit:
In  0.0000  0.0000  0.1395 x4
Ga  0.3333  0.6667  0.1897 x4
Ga  0.3333  0.6667  0.4809 x4
O  0.0000  0.3208  0.2500 x6
O  0.0299  0.3875  0.5810 x12



No. 3
Starting from a PBE-relaxed structure, the XRD peak list of Pm2Sm6Th3 was calculated for Cu Kα (λ = 1.5418 Å).
Intensities are scaled so that the largest is 100.

Principal peaks in the range 2θ from 10° to 90°, by angle:
| d [Å] | 2θ/deg | intensity |
| --- | --- | --- |
| 2.950 | 30.30 | 100 |
| 2.555 | 35.12 | 51 |
| 1.809 | 50.46 | 19 |
| 1.805 | 50.58 | 18 |
| 1.541 | 60.02 | 33 |
| 1.538 | 60.14 | 10 |

Structural model:
Cell: 3.6172 3.6172 97.1383 Å, 90.00 90.00 120.00°
Space group R-3m (No. 166, hexagonal axes)
Asymmetric unit:
Pm  0.0000  0.0000  0.0457 x6
Sm  0.0000  0.0000  0.1367 x6
Sm  0.0000  0.0000  0.3180 x6
Sm  0.0000  0.0000  0.4106 x6
Th  0.0000  0.0000  0.2268 x6
Th  0.0000  0.0000  0.5000 x3



No. 4
Starting from a PBE-relaxed structure, the XRD peak list of Ag2TeBr was calculated for Cu Kα (λ = 1.5418 Å).
Intensities are scaled so that the largest is 100.

Principal peaks in the range 2θ from 10° to 90°, by angle:
| d [Å] | 2θ/deg | intensity |
| --- | --- | --- |
| 7.048 | 12.56 | 100 |
| 3.151 | 28.32 | 37 |
| 2.585 | 34.70 | 74 |
| 2.186 | 41.30 | 46 |
| 2.178 | 41.46 | 45 |
| 2.086 | 43.37 | 39 |

Structural model:
Cell: 3.514 4.539 7.048 Å, 90.00 90.29 90.00°
Space group Pm (No. 6)
Asymmetric unit:
Ag  0.000  0.000  0.000 x1
Ag  0.499  0.500  0.892 x1
Te  0.002  0.500  0.227 x1
Br  0.495  0.000  0.663 x1



No. 5
Starting from a PBE-relaxed structure, the XRD peak list of MnReSn was calculated for Cu Kα (λ = 1.5418 Å).
Intensities are scaled so that the largest is 100.

Principal peaks in the range 2θ from 10° to 90°, by angle:
| d [Å] | 2θ/deg | intensity |
| --- | --- | --- |
| 3.001 | 29.77 | 69 |
| 2.922 | 30.60 | 35 |
| 2.122 | 42.61 | 55 |
| 2.093 | 43.22 | 100 |
| 1.717 | 53.36 | 31 |
| 1.220 | 78.42 | 36 |

Structural model:
Cell: 4.244 4.244 5.843 Å, 90.00 90.00 90.00°
Space group P4/nmm (No. 129, origin choice 2)
Asymmetric unit:
Mn  0.250  0.250  0.199 x2
Re  0.250  0.750  0.000 x2
Sn  0.250  0.750  0.500 x2



No. 6
Starting from a PBE-relaxed structure, the XRD peak list of NbCuGe was calculated for Cu Kα (λ = 1.5418 Å).
Intensities are scaled so that the largest is 100.

Principal peaks in the range 2θ from 10° to 90°, by angle:
| d [Å] | 2θ/deg | intensity |
| --- | --- | --- |
| 2.597 | 34.53 | 35 |
| 2.423 | 37.10 | 91 |
| 2.243 | 40.20 | 30 |
| 2.171 | 41.60 | 55 |
| 2.056 | 44.04 | 100 |
| 1.836 | 49.64 | 68 |

Structural model:
Cell: 3.673 3.673 13.459 Å, 90.00 90.00 90.00°
Space group I4/mmm (No. 139)
Asymmetric unit:
Nb  0.000  0.000  0.176 x4
Cu  0.000  0.500  0.000 x4
Ge  0.000  0.000  0.373 x4